(1)
Diffraction record for NaGa2PS6. The powder diffraction line list is theoretical, not measured: it uses DFT lattice parameters and positions (PBE) and Cu Kα, 1.54184 Å.

Structural model:
Lattice parameters (Å, degrees): 9.1483 9.1483 6.9969 108.29 108.29 87.16
Element x y z (fractional)
Na  0.1059  0.8941  0.7500
Na  0.8941  0.1059  0.2500
Ga  0.2383  0.3824  0.8802
Ga  0.3824  0.2383  0.3802
Ga  0.6176  0.7617  0.6198
Ga  0.7617  0.6176  0.1198
P  0.1977  0.8023  0.2500
P  0.8023  0.1977  0.7500
S  0.0098  0.2078  0.6915
S  0.2078  0.0098  0.1915
S  0.2097  0.6518  0.9676
S  0.2614  0.4060  0.5742
S  0.3482  0.7903  0.5324
S  0.4060  0.2614  0.0742
S  0.5940  0.7386  0.9258
S  0.6518  0.2097  0.4676
S  0.7386  0.5940  0.4258
S  0.7903  0.3482  0.0324
S  0.7922  0.9902  0.8085
S  0.9902  0.7922  0.3085

Peak list (6 most intense, 2θ = 5–70°, by angle)
2θ = 19.9°, I = 1000
2θ = 20.5°, I = 681
2θ = 20.9°, I = 400
2θ = 23.4°, I = 772
2θ = 26.9°, I = 376
2θ = 40.3°, I = 314

***

(2)
Diffraction record for NaGaPSe4. The powder diffraction line list is theoretical, not measured: it uses DFT lattice parameters and positions (PBE) and Cu Kα, 1.54184 Å.

Structural model:
Lattice parameters (Å, degrees): 6.5819 6.5819 9.0919 90.00 90.00 90.00
Element x y z (fractional)
Na  0.0000  0.0000  0.0000
Na  0.5000  0.5000  0.5000
Ga  0.0000  0.0000  0.5000
Ga  0.5000  0.5000  0.0000
P  0.0000  0.5000  0.2500
P  0.5000  0.0000  0.7500
Se  0.2025  0.7648  0.3528
Se  0.2352  0.2025  0.6472
Se  0.2648  0.2975  0.1472
Se  0.2975  0.7352  0.8528
Se  0.7025  0.2648  0.8528
Se  0.7352  0.7025  0.1472
Se  0.7648  0.7975  0.6472
Se  0.7975  0.2352  0.3528

Peak list (6 most intense, 2θ = 5–70°, by angle)
2θ = 16.6°, I = 358
2θ = 27.4°, I = 1000
2θ = 32.0°, I = 136
2θ = 38.7°, I = 291
2θ = 48.1°, I = 304
2θ = 48.7°, I = 274